Starting from a GGA-PBE-relaxed structure, the X-ray diffraction stick pattern of ZnGa2S4 was calculated for Cu Kα.

Largest 8 diffraction maxima, sorted by position, 2θ from 10° to 90°:
| two_theta | Rel. int. | h k l |
| --- | --- | --- |
| 21.42 | 100 | 0 0 9 |
| 27.74 | 44 | 1 0 1 |
| 28.05 | 46 | 0 1 2 |
| 29.27 | 73 | 1 0 4 |
| 33.76 | 65 | 0 1 8 |
| 48.87 | 78 | 1 1 0 |
| 50.24 | 62 | 0 1 17 |
| 53.93 | 46 | 1 1 9 |

Structural model:
Lattice parameters (Å, degrees): 3.7277 3.7277 37.3421 90.00 90.00 120.00
Space group R3m (No. 160, hexagonal axes)
Symmetry-distinct sites (fractional):
Zn  0.0000  0.0000  0.0000 (multiplicity 3)
Ga  0.0000  0.0000  0.5339 (multiplicity 3)
Ga  0.0000  0.0000  0.7677 (multiplicity 3)
S  0.0000  0.0000  0.0701 (multiplicity 3)
S  0.0000  0.0000  0.4732 (multiplicity 3)
S  0.0000  0.0000  0.6491 (multiplicity 3)
S  0.0000  0.0000  0.8930 (multiplicity 3)

---

Starting from a GGA-PBE-relaxed structure, the X-ray diffraction stick pattern of NaMg14Mn was calculated for Cu Kα.

Largest 8 diffraction maxima, sorted by position, 2θ from 10° to 90°:
| two_theta | Rel. int. | h k l |
| --- | --- | --- |
| 32.34 | 25 | 2 0 0 |
| 35.03 | 25 | 0 0 4 |
| 36.91 | 100 | 2 0 2 |
| 48.41 | 15 | 2 0 4 |
| 57.67 | 17 | 2 2 0 |
| 64.07 | 18 | 2 0 6 |
| 69.29 | 18 | 2 2 4 |
| 70.47 | 13 | 4 0 2 |

Structural model:
Lattice parameters (Å, degrees): 6.3936 6.3936 10.2455 90.00 90.00 120.00
Space group P-6m2 (No. 187)
Symmetry-distinct sites (fractional):
Na  0.0000  0.0000  0.0000 (multiplicity 1)
Mg  0.0000  0.5000  0.5000 (multiplicity 3)
Mg  0.0034  0.5017  0.0000 (multiplicity 3)
Mg  0.1647  0.3294  0.2591 (multiplicity 6)
Mg  0.6667  0.3333  0.2480 (multiplicity 2)
Mn  0.0000  0.0000  0.5000 (multiplicity 1)

---

Starting from a GGA-PBE-relaxed structure, the X-ray diffraction stick pattern of V5Bi3 was calculated for Cu Kα.

Largest 8 diffraction maxima, sorted by position, 2θ from 10° to 90°:
| two_theta | Rel. int. | h k l |
| --- | --- | --- |
| 23.87 | 36 | 2 2 0 |
| 24.53 | 67 | 2 1 1 |
| 26.73 | 100 | 3 1 0 |
| 35.90 | 91 | 2 0 2 |
| 38.17 | 48 | 4 2 0 |
| 38.60 | 87 | 4 1 1 |
| 48.67 | 43 | 3 3 2 |
| 49.22 | 29 | 5 2 1 |

Structural model:
Lattice parameters (Å, degrees): 10.545 10.545 5.682 90.00 90.00 90.00
Space group I4/mcm (No. 140)
Symmetry-distinct sites (fractional):
V  0.000  0.500  0.250 (multiplicity 4)
V  0.078  0.274  0.000 (multiplicity 16)
Bi  0.000  0.000  0.250 (multiplicity 4)
Bi  0.173  0.327  0.500 (multiplicity 8)

---

Starting from a GGA-PBE-relaxed structure, the X-ray diffraction stick pattern of KRe3S4O4 was calculated for Cu Kα.

Largest 8 diffraction maxima, sorted by position, 2θ from 10° to 90°:
| two_theta | Rel. int. | h k l |
| --- | --- | --- |
| 10.42 | 100 | 0 0 1 |
| 10.65 | 70 | 0 1 0 |
| 12.46 | 33 | 1 0 0 |
| 13.43 | 33 | 1 1 1 |
| 23.56 | 27 | 2 1 0 |
| 23.85 | 55 | 0 2 1 |
| 30.20 | 34 | 2 1 3 |
| 38.76 | 27 | 1 0 -3 |

Structural model:
Lattice parameters (Å, degrees): 8.406 8.978 9.415 80.74 64.33 67.74
Space group P-1 (No. 2)
Symmetry-distinct sites (fractional):
K  0.232  0.041  0.424 (multiplicity 2)
Re  0.112  0.702  0.042 (multiplicity 2)
Re  0.198  0.498  0.713 (multiplicity 2)
Re  0.264  0.279  0.042 (multiplicity 2)
S  0.029  0.765  0.821 (multiplicity 2)
S  0.113  0.490  0.232 (multiplicity 2)
S  0.223  0.232  0.818 (multiplicity 2)
S  0.362  0.486  0.871 (multiplicity 2)
O  0.120  0.821  0.404 (multiplicity 2)
O  0.189  0.841  0.069 (multiplicity 2)
O  0.327  0.495  0.514 (multiplicity 2)
O  0.434  0.135  0.093 (multiplicity 2)